For LaMo2, a GGA-PBE-relaxed structure gives the calculated X-ray powder pattern in this record (Cu Kα).
Neutral-atom scattering factors, no anomalous dispersion.

Structural model:
Cell lengths 8.5137, 7.7025, 4.5604 Å; angles 90.00, 116.53, 90.00 degrees
Space group C2/c (No. 15)
Asymmetric unit:
La  0.0000  0.1781  0.2500 x4
Mo  0.1598  0.4131  0.9525 x8

Most intense lines, 2θ = 10–90°, by angle:
- 2θ 31.36, I 76, hkl 1 1 1
- 2θ 31.95, I 51, hkl 0 2 1
- 2θ 33.08, I 28, hkl 2 2 0
- 2θ 33.40, I 100, hkl 2 2 -1
- 2θ 34.24, I 33, hkl 3 1 -1
- 2θ 37.29, I 67, hkl 3 1 0
- 2θ 39.72, I 51, hkl 2 0 -2
- 2θ 40.36, I 50, hkl 1 3 -1

=====

For CsCrSe2, a GGA-PBE-relaxed structure gives the calculated X-ray powder pattern in this record (Cu Kα).
Neutral-atom scattering factors, no anomalous dispersion.

Structural model:
Cell lengths 3.6928, 7.5087, 9.3650 Å; angles 72.87, 89.98, 75.78 degrees
Space group P-1 (No. 2)
Asymmetric unit:
Cs  0.0843  0.3287  0.3173 x2
Cr  0.1868  0.1249  0.8581 x2
Se  0.3423  0.8165  0.3307 x2
Se  0.3629  0.7757  0.9908 x2

Most intense lines, 2θ = 10–90°, by angle:
- 2θ 24.56, I 37, hkl 0 2 1
- 2θ 25.69, I 45, hkl 0 2 0
- 2θ 27.64, I 36, hkl 1 1 -1
- 2θ 30.05, I 40, hkl 0 0 3
- 2θ 30.36, I 32, hkl 0 2 -1
- 2θ 30.71, I 29, hkl 1 2 1
- 2θ 30.84, I 100, hkl 1 1 2
- 2θ 33.20, I 25, hkl 0 2 3

=====

For BeAl2Hg, a GGA-PBE-relaxed structure gives the calculated X-ray powder pattern in this record (Cu Kα).
Neutral-atom scattering factors, no anomalous dispersion.

Structural model:
Cell lengths 4.0279, 4.0279, 8.1317 Å; angles 90.00, 90.00, 90.00 degrees
Space group I-4m2 (No. 119)
Asymmetric unit:
Be  0.0000  0.0000  0.0000 x2
Al  0.0000  0.0000  0.5000 x2
Al  0.0000  0.5000  0.2500 x2
Hg  0.0000  0.5000  0.7500 x2

Most intense lines, 2θ = 10–90°, by angle:
- 2θ 21.86, I 41, hkl 0 0 2
- 2θ 24.67, I 100, hkl 1 0 1
- 2θ 31.41, I 34, hkl 1 1 0
- 2θ 38.60, I 72, hkl 1 1 2
- 2θ 40.10, I 29, hkl 1 0 3
- 2θ 45.01, I 23, hkl 2 0 0
- 2θ 50.58, I 19, hkl 2 0 2
- 2θ 52.00, I 28, hkl 2 1 1